[1]
The following is a simulated XRD peak list of Na2CaS2O8. It was derived from a GGA-PBE-relaxed structure, using Cu Kα (λ = 1.5418 Å).

Main lines, by angle (10 to 80 degrees two-theta):
h k l, 2theta, I_rel
1 1 1, 19.99, 82
0 0 2, 22.07, 70
2 2 -1, 27.82, 96
3 1 -1, 28.19, 100
2 2 0, 28.45, 83
1 1 2, 29.19, 50
0 2 2, 30.84, 69
2 2 -2, 31.46, 97
1 1 -3, 32.85, 94
0 4 1, 44.81, 49

Structural model:
Unit cell a=10.262 b=8.358 c=8.700 alpha=90.00 beta=112.22 gamma=90.00
Space group C2/c (No. 15)
Unique sites:
1 Na 0.141 0.055 0.438 [8 per cell]
2 Ca 0.000 0.439 0.750 [4 per cell]
3 S 0.184 0.284 0.186 [8 per cell]
4 O 0.110 0.129 0.131 [8 per cell]
5 O 0.124 0.413 0.059 [8 per cell]
6 O 0.163 0.232 0.777 [8 per cell]
7 O 0.163 0.337 0.340 [8 per cell]


[2]
The following is a simulated XRD peak list of Na2Ca2S3O12. It was derived from a GGA-PBE-relaxed structure, using Cu Kα (λ = 1.5418 Å).

Main lines, by angle (10 to 80 degrees two-theta):
h k l, 2theta, I_rel
2 0 0, 13.19, 20
1 1 1, 18.42, 16
3 1 -2, 22.03, 100
0 2 1, 22.16, 66
2 2 -2, 26.61, 16
3 1 -3, 29.34, 63
0 2 2, 29.44, 30
6 0 -2, 33.16, 14
3 3 -1, 33.45, 28
0 4 2, 45.20, 21

Structural model:
Unit cell a=16.211 b=9.255 c=9.698 alpha=90.00 beta=124.06 gamma=90.00
Space group C2/c (No. 15)
Unique sites:
1 Na 0.000 0.113 0.250 [4 per cell]
2 Na 0.250 0.250 0.500 [4 per cell]
3 Ca 0.104 0.259 0.047 [8 per cell]
4 S 0.000 0.444 0.250 [4 per cell]
5 S 0.146 0.099 0.743 [8 per cell]
6 O 0.056 0.155 0.588 [8 per cell]
7 O 0.059 0.466 0.901 [8 per cell]
8 O 0.071 0.347 0.240 [8 per cell]
9 O 0.142 0.133 0.889 [8 per cell]
10 O 0.147 0.063 0.235 [8 per cell]
11 O 0.235 0.162 0.759 [8 per cell]


> What is the formula in the first record?

Na2CaS2O8